Li2MnOF3: computed powder XRD pattern (Cu Kα), based on the PBE+U geometry in Alexandria.

Main lines, in order of rising 2θ (15° ≤ 2θ ≤ 90°):
(0 0 1), 2θ 18.0, rel. 92.0; (2 0 -1), 2θ 18.5, rel. 100.0; (2 0 0), 2θ 21.1, rel. 43.1; (2 0 -2), 2θ 30.0, rel. 29.1; (0 2 1), 2θ 34.9, rel. 46.9; (2 2 -1), 2θ 35.1, rel. 36.4; (2 2 -2), 2θ 42.7, rel. 83.4; (4 0 0), 2θ 42.9, rel. 41.9; (0 4 0), 2θ 61.5, rel. 39.4; (6 2 -2), 2θ 62.7, rel. 24.4

Cell and atoms:
Lattice parameters (Å, degrees): 10.202 6.034 5.955 90.00 124.25 90.00
Space group C2/m (No. 12)
Symmetry-distinct sites (fractional):
Li1 0.000 0.000 0.000 [2 per cell]
Li2 0.000 0.000 0.500 [2 per cell]
Li3 0.124 0.500 0.407 [4 per cell]
Mn1 0.250 0.250 0.000 [4 per cell]
O1 0.245 0.000 0.188 [4 per cell]
F1 0.014 0.238 0.759 [8 per cell]
F2 0.242 0.000 0.730 [4 per cell]